Starting from a DFT-relaxed cell (GGA-PBE, Alexandria), the powder diffractogram of CrGa2Ni7As2 was calculated for Cu Kα (λ = 1.5418 Å).
No peak broadening, texture or thermal motion is included.

Atomic structure:
```
data_CrGa2Ni7As2
_space_group_name_H-M_alt 'I 4/m m m'
_space_group_IT_number 139
_space_group_name_Hall '-I 4 2'
_cell_length_a 3.448
_cell_length_b 3.448
_cell_length_c 27.231
_cell_angle_alpha 90.00
_cell_angle_beta 90.00
_cell_angle_gamma 90.00
loop_
_atom_site_label
_atom_site_fract_x
_atom_site_fract_y
_atom_site_fract_z
Cr1 0.000 0.000 0.000
Ga1 0.000 0.000 0.370
Ni1 0.000 0.000 0.278
Ni2 0.000 0.000 0.500
Ni3 0.000 0.500 0.065
As1 0.000 0.000 0.192
```

Main lines, by intensity (2θ = 10–80°):
- 2θ = 53.12°, 1.724 Å, rel. 100
- 2θ = 42.07°, 2.148 Å, rel. 85
- 2θ = 37.47°, 2.400 Å, rel. 83
- 2θ = 45.78°, 1.982 Å, rel. 74
- 2θ = 45.08°, 2.011 Å, rel. 66
- 2θ = 50.23°, 1.816 Å, rel. 53